No. 1
# Zr5GaSn3
Theoretical XRD peak list, λ = 1.5418 Å (Cu Kα). Input: DFT lattice parameters and positions (GGA-PBE).

Main lines, sorted by position (15 to 90 degrees two-theta):
2theta, Rel. int.
34.87, 75
35.63, 82
36.70, 100
45.92, 24
52.08, 23
74.37, 19

Structure:
```
Zr5GaSn3
1.0
8.7287 0.0000 0.0000
-4.3643 7.5593 0.0000
0.0000 0.0000 5.9161
Zr Ga Sn
10 2 6
Cartesian
-1.1641 2.0162 1.4790
-3.2003 5.5430 4.4371
2.3281 0.0000 1.4790
1.1641 2.0162 4.4371
0.0000 5.0395 0.0000
0.0000 5.0395 2.9580
4.3643 2.5197 0.0000
4.3643 2.5197 2.9580
6.4006 0.0000 4.4371
3.2003 5.5430 1.4790
0.0000 0.0000 0.0000
0.0000 0.0000 2.9580
-1.6923 2.9311 4.4371
-2.6720 4.6281 1.4790
3.3846 0.0000 4.4371
1.6923 2.9311 1.4790
5.3441 0.0000 1.4790
2.6720 4.6281 4.4371
```

No. 2
# SrGa2
Theoretical XRD peak list, λ = 1.5418 Å (Cu Kα). Input: DFT lattice parameters and positions (GGA-PBE).

Main lines, sorted by position (15 to 90 degrees two-theta):
2theta, Rel. int.
30.07, 100
37.28, 20
41.45, 44
52.05, 21
56.96, 34
68.62, 18

Structure:
```
SrGa2
1.0
4.3569 0.0000 0.0000
-2.1784 3.7732 0.0000
0.0000 0.0000 4.8240
Sr Ga
1 2
Cartesian
0.0000 0.0000 0.0000
0.0000 2.5154 2.4120
2.1784 1.2577 2.4120
```

No. 3
# Sr8Ga7
Theoretical XRD peak list, λ = 1.5418 Å (Cu Kα). Input: DFT lattice parameters and positions (GGA-PBE).

Main lines, sorted by position (15 to 90 degrees two-theta):
2theta, Rel. int.
26.62, 48
29.40, 100
30.27, 80
31.95, 32
36.57, 62
38.71, 65

Structure:
```
Sr8Ga7
1.0
12.5280 0.0000 0.0000
0.0000 12.5280 0.0000
0.0000 0.0000 12.5280
Sr Ga
32 28
Cartesian
0.0506 2.4774 11.7993
0.2776 2.5692 5.4758
0.7287 6.3146 3.7866
0.7882 12.2503 8.8332
2.3309 10.1971 3.9331
2.3595 8.6235 10.1685
2.4774 11.7993 0.0506
2.5692 5.4758 0.2776
3.6948 7.0522 6.5416
3.7866 0.7287 6.3146
3.9045 3.9045 3.9045
3.9331 2.3309 10.1971
5.4758 0.2776 2.5692
5.5353 6.2134 10.0505
5.9863 9.9588 11.7398
6.2134 10.0505 5.5353
6.3146 3.7866 0.7287
6.5416 3.6948 7.0522
6.9927 12.4774 8.7414
7.0522 6.5416 3.6948
8.5949 8.5949 8.5949
8.6235 10.1685 2.3595
8.7414 6.9927 12.4774
8.8332 0.7882 12.2503
9.9588 11.7398 5.9863
10.0505 5.5353 6.2134
10.1685 2.3595 8.6235
10.1971 3.9331 2.3309
11.7398 5.9863 9.9588
11.7993 0.0506 2.4774
12.2503 8.8332 0.7882
12.4774 8.7414 6.9927
0.8330 5.4310 7.0970
0.9233 3.1759 8.6883
0.9806 3.1601 2.3263
2.3263 0.9806 3.1601
2.4243 5.3407 9.3521
3.0881 3.8397 7.1873
3.1039 10.2017 7.2446
3.1601 2.3263 0.9806
3.1759 8.6883 0.9233
3.8397 7.1873 3.0881
3.9377 11.5474 9.4241
5.2834 9.3679 8.5903
5.3407 9.3521 2.4243
5.4310 7.0970 0.8330
7.0970 0.8330 5.4310
7.1873 3.0881 3.8397
7.2446 3.1039 10.2017
8.5903 5.2834 9.3679
8.6883 0.9233 3.1759
9.3521 2.4243 5.3407
9.3679 8.5903 5.2834
9.4241 3.9377 11.5474
9.4399 10.1037 11.6047
10.1037 11.6047 9.4399
10.2017 7.2446 3.1039
11.5474 9.4241 3.9377
11.6047 9.4399 10.1037
11.6950 11.6950 11.6950
```

No. 4
# Ta5Ga3
Theoretical XRD peak list, λ = 1.5418 Å (Cu Kα). Input: DFT lattice parameters and positions (GGA-PBE).

Main lines, sorted by position (15 to 90 degrees two-theta):
2theta, Rel. int.
35.43, 45
36.56, 30
39.44, 100
40.36, 47
41.38, 82
64.43, 24

Structure:
```
Ta5Ga3
1.0
7.7405 0.0000 0.0000
-3.8703 6.7035 0.0000
0.0000 0.0000 5.2835
Ta Ga
10 6
Cartesian
-0.9557 1.6554 1.3209
-2.9145 5.0481 3.9626
1.9115 0.0000 1.3209
0.9557 1.6554 3.9626
0.0000 4.4690 0.0000
0.0000 4.4690 2.6418
3.8703 2.2345 0.0000
3.8703 2.2345 2.6418
5.8291 0.0000 3.9626
2.9145 5.0481 1.3209
-1.5261 2.6433 3.9626
-2.3442 4.0602 1.3209
3.0522 0.0000 3.9626
1.5261 2.6433 1.3209
4.6883 0.0000 1.3209
2.3442 4.0602 3.9626
```

No. 5
# Ta5Ga3
Theoretical XRD peak list, λ = 1.5418 Å (Cu Kα). Input: DFT lattice parameters and positions (GGA-PBE).

Main lines, sorted by position (15 to 90 degrees two-theta):
2theta, Rel. int.
30.42, 23
37.43, 100
40.50, 19
42.15, 40
61.08, 19
80.02, 15

Structure:
```
Ta5Ga3
1.0
-3.3899 3.3899 5.9099
3.3899 -3.3899 5.9099
3.3899 3.3899 -5.9099
Ta Ga
10 6
Cartesian
0.0000 0.0000 0.0000
4.4826 1.0927 -1.8466
1.0927 2.2972 -1.8466
4.4826 1.0927 1.8466
1.0927 2.2972 1.8466
0.0000 0.0000 5.9099
2.2972 1.0927 4.0633
-1.0927 2.2972 4.0633
2.2972 1.0927 7.7565
-1.0927 2.2972 7.7565
2.4830 0.9069 0.0000
0.0000 0.0000 2.9550
2.4830 -0.9069 5.9099
0.9069 4.2968 0.0000
0.0000 0.0000 8.8649
0.9069 2.4830 5.9099
```

No. 6
# Ta5Ga3
Theoretical XRD peak list, λ = 1.5418 Å (Cu Kα). Input: DFT lattice parameters and positions (GGA-PBE).

Main lines, sorted by position (15 to 90 degrees two-theta):
2theta, Rel. int.
34.93, 37
36.04, 62
39.21, 91
40.22, 100
43.14, 51
64.09, 27

Structure:
```
Ta5Ga3
1.0
-5.1373 5.1373 2.5683
5.1373 -5.1373 2.5683
5.1373 5.1373 -2.5683
Ta Ga
10 6
Cartesian
7.9906 0.7696 0.0000
0.7696 2.2839 0.0000
5.1373 0.0000 1.2841
5.9069 2.8534 0.0000
2.8534 4.3676 0.0000
2.2839 0.7696 2.5683
-0.7696 2.2839 2.5683
0.0000 5.1373 1.2841
4.3676 2.8534 2.5683
-2.8534 4.3676 2.5683
3.4298 1.7075 0.0000
0.0000 0.0000 1.2841
3.4298 -1.7075 2.5683
1.7075 6.8447 0.0000
0.0000 0.0000 3.8524
1.7075 3.4298 2.5683
```

No. 7
# TbGa3
Theoretical XRD peak list, λ = 1.5418 Å (Cu Kα). Input: DFT lattice parameters and positions (GGA-PBE).

Main lines, sorted by position (15 to 90 degrees two-theta):
2theta, Rel. int.
25.42, 23
32.83, 25
38.43, 100
39.43, 22
58.61, 17
72.94, 17

Structure:
```
TbGa3
1.0
6.3007 0.0000 0.0000
-3.1503 5.4565 0.0000
0.0000 0.0000 4.5709
Tb Ga
2 6
Cartesian
0.0000 3.6377 1.1427
3.1503 1.8188 3.4282
0.0000 1.6141 3.4282
-1.7525 4.6495 3.4282
1.3978 0.8070 1.1427
1.7525 4.6495 3.4282
4.9028 0.8070 1.1427
3.1503 3.8425 1.1427
```

No. 8
# TbGa
Theoretical XRD peak list, λ = 1.5418 Å (Cu Kα). Input: DFT lattice parameters and positions (GGA-PBE).

Main lines, sorted by position (15 to 90 degrees two-theta):
2theta, Rel. int.
27.18, 26
31.07, 100
31.97, 42
32.68, 27
38.97, 51
41.46, 25

Structure:
```
TbGa
1.0
2.1779 -5.4812 0.0000
2.1779 5.4812 0.0000
0.0000 0.0000 4.0947
Tb Ga
2 2
Cartesian
2.1779 3.9533 3.0710
2.1779 -3.9533 1.0237
2.1779 0.8291 3.0710
2.1779 -0.8291 1.0237
```

No. 9
# TbGa3
Theoretical XRD peak list, λ = 1.5418 Å (Cu Kα). Input: DFT lattice parameters and positions (GGA-PBE).

Main lines, sorted by position (15 to 90 degrees two-theta):
2theta, Rel. int.
20.72, 15
29.47, 13
36.30, 100
42.16, 49
61.15, 32
73.23, 37

Structure:
```
TbGa3
1.0
4.2868 0.0000 0.0000
0.0000 4.2868 0.0000
0.0000 0.0000 4.2868
Tb Ga
1 3
Cartesian
0.0000 0.0000 0.0000
0.0000 2.1434 2.1434
2.1434 0.0000 2.1434
2.1434 2.1434 0.0000
```

No. 10
# TbGa6
Theoretical XRD peak list, λ = 1.5418 Å (Cu Kα). Input: DFT lattice parameters and positions (GGA-PBE).

Main lines, sorted by position (15 to 90 degrees two-theta):
2theta, Rel. int.
31.64, 34
32.01, 100
35.40, 24
41.61, 41
42.49, 39
53.93, 21

Structure:
```
TbGa6
1.0
6.0178 0.0000 0.0000
0.0000 6.0178 0.0000
0.0000 0.0000 7.5710
Tb Ga
2 12
Cartesian
1.5044 4.5133 0.0000
4.5133 1.5044 0.0000
0.3331 3.3420 2.6302
0.3331 5.6847 4.9407
1.5044 1.5044 1.2168
1.5044 1.5044 6.3542
2.6758 3.3420 4.9407
2.6758 5.6847 2.6302
3.3420 0.3331 4.9407
3.3420 2.6758 2.6302
4.5133 4.5133 1.2168
4.5133 4.5133 6.3542
5.6847 0.3331 2.6302
5.6847 2.6758 4.9407
```

No. 11
# GaTc
Theoretical XRD peak list, λ = 1.5418 Å (Cu Kα). Input: DFT lattice parameters and positions (GGA-PBE).

Main lines, sorted by position (15 to 90 degrees two-theta):
2theta, Rel. int.
35.79, 28
42.26, 100
44.28, 19
64.32, 18
80.05, 29
81.41, 18

Structure:
```
GaTc
1.0
2.8968 0.0000 0.0000
-1.4484 2.5087 0.0000
0.0000 0.0000 4.0909
Ga Tc
1 1
Cartesian
0.0000 0.0000 0.0000
1.4484 0.8362 2.0455
```

No. 12
# Ga3Tc
Theoretical XRD peak list, λ = 1.5418 Å (Cu Kα). Input: DFT lattice parameters and positions (GGA-PBE).

Main lines, sorted by position (15 to 90 degrees two-theta):
2theta, Rel. int.
39.83, 100
44.44, 18
47.24, 30
66.86, 21
78.70, 13
82.77, 22

Structure:
```
Ga3Tc
1.0
-1.9242 1.9242 4.0769
1.9242 -1.9242 4.0769
1.9242 1.9242 -4.0769
Ga Tc
3 1
Cartesian
0.0000 0.0000 0.0000
1.9242 0.0000 2.0385
0.0000 1.9242 2.0385
0.0000 0.0000 4.0769
```

No. 13
# Ti2GaTc
Theoretical XRD peak list, λ = 1.5418 Å (Cu Kα). Input: DFT lattice parameters and positions (GGA-PBE).

Main lines, sorted by position (15 to 90 degrees two-theta):
2theta, Rel. int.
28.47, 11
40.70, 100
58.92, 16
66.72, 5
74.08, 31
88.14, 10

Structure:
```
Ti2GaTc
1.0
0.0000 3.1349 3.1349
3.1349 0.0000 3.1349
3.1349 3.1349 0.0000
Ti Ga Tc
2 1 1
Cartesian
1.5674 1.5674 1.5674
4.7023 4.7023 4.7023
0.0000 0.0000 0.0000
3.1349 3.1349 3.1349
```